The following is a theoretical XRD peak list of CrCl2O2. It was derived from a crystal structure in the Materials Project, relaxed with GGA+U, using Cu Ka.

Most intense lines, 2θ = 10–90°, sorted by position:
| h k l | 2θ (°) | Rel. int. |
| --- | --- | --- |
| 1 0 -1 | 15.14 | 37 |
| 1 0 1 | 20.12 | 36 |
| 0 1 1 | 20.29 | 64 |
| 1 1 0 | 21.08 | 100 |
| 1 1 -1 | 22.38 | 22 |
| 2 0 -1 | 25.94 | 15 |
| 2 0 0 | 26.56 | 14 |
| 0 1 2 | 29.14 | 29 |
| 1 0 2 | 30.54 | 29 |
| 0 2 0 | 33.10 | 21 |

Structural model:
Cell lengths 6.984, 5.413, 7.737 Å; angles 90.00, 106.03, 90.00 degrees
Space group P2_1 (No. 4)
One atom of each set of equivalent atoms:
1 Cr 0.164 0.000 0.275 x2
2 Cl 0.277 0.112 0.548 x2
3 Cl 0.345 0.121 0.112 x2
4 O 0.054 0.611 0.801 x2
5 O 0.153 0.707 0.268 x2



The following is a theoretical XRD peak list of Ti5Fe7O18. It was derived from a crystal structure in the Materials Project, relaxed with GGA+U, using Cu Ka.

Most intense lines, 2θ = 10–90°, sorted by position:
| h k l | 2θ (°) | Rel. int. |
| --- | --- | --- |
| 1 0 1 | 23.50 | 30 |
| 1 -2 2 | 32.22 | 93 |
| 2 0 -1 | 32.37 | 45 |
| 1 2 -3 | 34.72 | 100 |
| 2 1 0 | 39.82 | 19 |
| 1 -4 0 | 52.39 | 25 |
| 2 -2 3 | 52.57 | 25 |
| 3 0 -3 | 52.71 | 24 |
| 1 -2 5 | 60.72 | 21 |
| 2 4 -3 | 62.19 | 31 |

Structural model:
Cell lengths 5.563, 7.631, 8.939 Å; angles 113.14, 105.33, 96.06 degrees
Space group P1 (No. 1)
One atom of each set of equivalent atoms:
1 Ti 0.000 0.000 0.000 x1
2 Ti 0.078 0.960 0.333 x1
3 Ti 0.337 0.336 0.670 x1
4 Ti 0.662 0.662 0.327 x1
5 Ti 0.756 0.622 0.667 x1
6 Fe 0.084 0.457 0.332 x1
7 Fe 0.339 0.838 0.670 x1
8 Fe 0.412 0.293 0.997 x1
9 Fe 0.417 0.793 0.999 x1
10 Fe 0.665 0.170 0.329 x1
11 Fe 0.748 0.120 0.663 x1
12 Fe 0.993 0.496 0.999 x1
13 O 0.095 0.259 0.450 x1
14 O 0.098 0.273 0.091 x1
15 O 0.127 0.302 0.793 x1
16 O 0.283 0.992 0.204 x1
17 O 0.302 0.000 0.894 x1
18 O 0.320 0.019 0.555 x1
19 O 0.415 0.601 0.116 x1
20 O 0.434 0.613 0.751 x1
21 O 0.463 0.644 0.469 x1
22 O 0.629 0.324 0.861 x1
23 O 0.648 0.350 0.573 x1
24 O 0.666 0.372 0.229 x1
25 O 0.741 0.925 0.781 x1
26 O 0.764 0.944 0.423 x1
27 O 0.791 0.967 0.127 x1
28 O 0.974 0.686 0.244 x1
29 O 0.976 0.668 0.547 x1
30 O 0.993 0.696 0.885 x1



The following is a theoretical XRD peak list of Ca9Y3Co4O24. It was derived from a crystal structure in the Materials Project, relaxed with GGA+U, using Cu Ka.

Most intense lines, 2θ = 10–90°, sorted by position:
| h k l | 2θ (°) | Rel. int. |
| --- | --- | --- |
| 0 1 2 | 19.52 | 100 |
| 1 0 2 | 19.61 | 51 |
| 0 2 2 | 31.09 | 19 |
| 0 1 4 | 31.23 | 73 |
| -2 1 2 | 34.84 | 42 |
| 1 -2 2 | 35.02 | 36 |
| 1 1 -4 | 35.16 | 36 |
| 3 0 2 | 44.85 | 23 |
| -1 1 6 | 47.59 | 54 |
| 1 -1 6 | 47.88 | 19 |

Structural model:
Cell lengths 6.359, 6.366, 12.655 Å; angles 88.26, 88.88, 88.98 degrees
Space group P1 (No. 1)
One atom of each set of equivalent atoms:
1 Ca 0.000 0.000 0.000 x1
2 Ca 0.001 0.002 0.499 x1
3 Ca 0.359 0.292 0.676 x1
4 Ca 0.360 0.291 0.178 x1
5 Ca 0.503 0.147 0.427 x1
6 Ca 0.713 0.644 0.323 x1
7 Ca 0.714 0.647 0.823 x1
8 Ca 0.852 0.505 0.571 x1
9 Ca 0.856 0.503 0.072 x1
10 Y 0.212 0.791 0.250 x1
11 Y 0.215 0.791 0.750 x1
12 Y 0.501 0.149 0.927 x1
13 Co 0.103 0.393 0.874 x1
14 Co 0.105 0.395 0.374 x1
15 Co 0.609 0.899 0.126 x1
16 Co 0.610 0.900 0.626 x1
17 O 0.041 0.682 0.406 x1
18 O 0.042 0.678 0.907 x1
19 O 0.044 0.464 0.235 x1
20 O 0.045 0.460 0.735 x1
21 O 0.178 0.109 0.336 x1
22 O 0.179 0.104 0.840 x1
23 O 0.179 0.337 0.509 x1
24 O 0.184 0.330 0.008 x1
25 O 0.325 0.966 0.089 x1
26 O 0.325 0.966 0.593 x1
27 O 0.384 0.479 0.340 x1
28 O 0.388 0.464 0.841 x1
29 O 0.527 0.621 0.158 x1
30 O 0.528 0.626 0.660 x1
31 O 0.539 0.961 0.264 x1
32 O 0.539 0.965 0.771 x1
33 O 0.667 0.834 0.987 x1
34 O 0.671 0.824 0.488 x1
35 O 0.673 0.180 0.089 x1
36 O 0.679 0.173 0.595 x1
37 O 0.822 0.323 0.906 x1
38 O 0.828 0.324 0.408 x1
39 O 0.894 0.827 0.663 x1
40 O 0.894 0.829 0.163 x1



The following is a theoretical XRD peak list of MnMoO4. It was derived from a crystal structure in the Materials Project, relaxed with GGA+U, using Cu Ka.

Most intense lines, 2θ = 10–90°, sorted by position:
| h k l | 2θ (°) | Rel. int. |
| --- | --- | --- |
| 1 0 0 | 18.24 | 20 |
| 0 1 1 | 23.24 | 19 |
| 1 1 0 | 23.79 | 46 |
| 1 1 -1 | 29.52 | 100 |
| 1 1 1 | 29.89 | 96 |
| 0 2 0 | 30.54 | 20 |
| 0 0 2 | 35.47 | 46 |
| 1 3 0 | 50.39 | 25 |
| 2 0 -2 | 51.71 | 18 |
| 2 2 1 | 52.38 | 23 |

Structural model:
Cell lengths 4.864, 5.854, 5.058 Å; angles 90.00, 90.97, 90.00 degrees
Space group P2/c (No. 13)
One atom of each set of equivalent atoms:
1 Mn 0.000 0.183 0.250 x2
2 Mo 0.500 0.319 0.750 x2
3 O 0.247 0.126 0.605 x4
4 O 0.288 0.396 0.057 x4



The following is a theoretical XRD peak list of Li9Mn2Co5O16. It was derived from a crystal structure in the Materials Project, relaxed with GGA+U, using Cu Ka.

Most intense lines, 2θ = 10–90°, sorted by position:
| h k l | 2θ (°) | Rel. int. |
| --- | --- | --- |
| 0 1 1 | 18.49 | 100 |
| 2 0 1 | 34.62 | 17 |
| 0 1 -3 | 36.76 | 23 |
| 2 -1 0 | 41.64 | 31 |
| 0 0 4 | 44.78 | 50 |
| 4 2 0 | 62.60 | 7 |
| 2 -1 4 | 62.79 | 15 |
| 0 4 0 | 63.01 | 7 |
| 2 3 4 | 64.53 | 7 |
| 2 3 -4 | 65.83 | 7 |

Structural model:
Cell lengths 5.950, 6.435, 8.099 Å; angles 89.06, 89.26, 66.50 degrees
Space group P1 (No. 1)
One atom of each set of equivalent atoms:
1 Li 0.000 0.000 0.000 x1
2 Li 0.016 0.989 0.500 x1
3 Li 0.133 0.233 0.737 x1
4 Li 0.285 0.478 0.500 x1
5 Li 0.380 0.751 0.259 x1
6 Li 0.530 0.982 0.001 x1
7 Li 0.652 0.231 0.741 x1
8 Li 0.744 0.504 0.499 x1
9 Li 0.895 0.749 0.262 x1
10 Mn 0.263 0.492 0.998 x1
11 Mn 0.765 0.491 0.001 x1
12 Co 0.140 0.236 0.253 x1
13 Co 0.377 0.751 0.747 x1
14 Co 0.514 0.992 0.499 x1
15 Co 0.655 0.230 0.252 x1
16 Co 0.885 0.747 0.747 x1
17 O 0.007 0.973 0.752 x1
18 O 0.030 0.004 0.249 x1
19 O 0.106 0.272 0.008 x1
20 O 0.187 0.212 0.485 x1
21 O 0.254 0.479 0.239 x1
22 O 0.277 0.501 0.758 x1
23 O 0.398 0.755 0.513 x1
24 O 0.422 0.714 0.991 x1
25 O 0.493 0.986 0.737 x1
26 O 0.533 0.997 0.262 x1
27 O 0.633 0.226 0.485 x1
28 O 0.648 0.249 0.012 x1
29 O 0.752 0.483 0.240 x1
30 O 0.775 0.501 0.762 x1
31 O 0.843 0.769 0.515 x1
32 O 0.880 0.730 0.990 x1



The following is a theoretical XRD peak list of Pr10Ni5O22. It was derived from a crystal structure in the Materials Project, relaxed with GGA+U, using Cu Ka.

Most intense lines, 2θ = 10–90°, sorted by position:
| h k l | 2θ (°) | Rel. int. |
| --- | --- | --- |
| 0 1 3 | 23.36 | 21 |
| 1 0 3 | 23.53 | 23 |
| 0 1 -7 | 30.65 | 32 |
| 1 0 -7 | 30.89 | 100 |
| 1 1 1 | 31.62 | 47 |
| 1 -1 0 | 32.04 | 48 |
| 0 1 13 | 42.23 | 26 |
| 1 -1 10 | 42.97 | 20 |
| 0 2 1 | 45.45 | 22 |
| 2 0 1 | 45.82 | 24 |

Structural model:
Cell lengths 3.961, 3.991, 31.912 Å; angles 86.77, 86.50, 89.27 degrees
Space group P1 (No. 1)
One atom of each set of equivalent atoms:
1 Pr 0.000 0.000 0.000 x1
2 Pr 0.023 0.971 0.893 x1
3 Pr 0.165 0.170 0.590 x1
4 Pr 0.258 0.293 0.480 x1
5 Pr 0.367 0.440 0.192 x1
6 Pr 0.423 0.479 0.088 x1
7 Pr 0.600 0.632 0.793 x1
8 Pr 0.691 0.706 0.682 x1
9 Pr 0.769 0.768 0.385 x1
10 Pr 0.800 0.856 0.280 x1
11 Ni 0.151 0.155 0.731 x1
12 Ni 0.285 0.352 0.331 x1
13 Ni 0.505 0.496 0.943 x1
14 Ni 0.722 0.713 0.539 x1
15 Ni 0.866 0.963 0.139 x1
16 O 0.009 0.465 0.940 x1
17 O 0.128 0.650 0.746 x1
18 O 0.196 0.063 0.666 x1
19 O 0.224 0.740 0.532 x1
20 O 0.275 0.435 0.406 x1
21 O 0.287 0.853 0.333 x1
22 O 0.297 0.450 0.265 x1
23 O 0.301 0.486 0.020 x1
24 O 0.364 0.961 0.143 x1
25 O 0.372 0.124 0.822 x1
26 O 0.526 0.990 0.954 x1
27 O 0.540 0.631 0.878 x1
28 O 0.651 0.180 0.728 x1
29 O 0.698 0.213 0.544 x1
30 O 0.752 0.119 0.824 x1
31 O 0.752 0.672 0.470 x1
32 O 0.779 0.024 0.452 x1
33 O 0.784 0.322 0.334 x1
34 O 0.792 0.949 0.210 x1
35 O 0.798 0.667 0.609 x1
36 O 0.801 0.979 0.072 x1
37 O 0.895 0.463 0.141 x1



The following is a theoretical XRD peak list of Li5Fe5Sb2O12. It was derived from a crystal structure in the Materials Project, relaxed with GGA+U, using Cu Ka.

Most intense lines, 2θ = 10–90°, sorted by position:
| h k l | 2θ (°) | Rel. int. |
| --- | --- | --- |
| 0 0 2 | 17.64 | 71 |
| 0 2 0 | 19.16 | 50 |
| 1 1 1 | 22.69 | 64 |
| 1 1 -3 | 30.18 | 28 |
| 1 3 -1 | 33.93 | 25 |
| 1 3 1 | 35.72 | 54 |
| 1 3 -3 | 41.09 | 100 |
| 2 0 2 | 41.78 | 48 |
| 3 3 -1 | 59.68 | 29 |
| 1 3 5 | 60.40 | 28 |

Structural model:
Cell lengths 5.375, 9.264, 10.266 Å; angles 90.00, 101.53, 90.00 degrees
Space group C2 (No. 5)
One atom of each set of equivalent atoms:
1 Li 0.000 0.000 0.000 x2
2 Li 0.242 0.002 0.756 x4
3 Li 0.249 0.839 0.245 x4
4 Fe 0.000 0.333 0.000 x2
5 Fe 0.000 0.501 0.500 x2
6 Fe 0.000 0.836 0.500 x2
7 Fe 0.246 0.667 0.754 x4
8 Sb 0.000 0.168 0.500 x2
9 Sb 0.000 0.669 0.000 x2
10 O 0.111 0.515 0.882 x4
11 O 0.113 0.822 0.884 x4
12 O 0.136 0.669 0.378 x4
13 O 0.138 0.006 0.377 x4
14 O 0.139 0.326 0.375 x4
15 O 0.145 0.172 0.885 x4



The following is a theoretical XRD peak list of BaMgV2CuO8. It was derived from a crystal structure in the Materials Project, relaxed with GGA+U, using Cu Ka.

Most intense lines, 2θ = 10–90°, sorted by position:
| h k l | 2θ (°) | Rel. int. |
| --- | --- | --- |
| 2 1 1 | 23.36 | 43 |
| 2 0 2 | 25.40 | 39 |
| 2 3 1 | 30.71 | 100 |
| 2 1 3 | 30.85 | 67 |
| 0 4 2 | 31.37 | 44 |
| 0 2 4 | 31.59 | 42 |
| 2 3 3 | 36.84 | 45 |
| 0 0 6 | 42.98 | 30 |
| 4 2 2 | 47.76 | 31 |
| 0 6 6 | 61.98 | 57 |

Structural model:
Cell lengths 8.409, 12.784, 12.636 Å; angles 90.00, 90.00, 90.00 degrees
Space group Iba2 (No. 45)
One atom of each set of equivalent atoms:
1 Ba 0.124 0.250 0.000 x8
2 Mg 0.127 0.082 0.329 x8
3 V 0.000 0.000 0.079 x4
4 V 0.000 0.500 0.420 x4
5 V 0.248 0.330 0.250 x8
6 Cu 0.124 0.416 0.666 x8
7 O 0.096 0.087 0.497 x8
8 O 0.099 0.411 0.502 x8
9 O 0.109 0.406 0.176 x8
10 O 0.117 0.090 0.821 x8
11 O 0.133 0.427 0.841 x8
12 O 0.139 0.072 0.158 x8
13 O 0.153 0.249 0.661 x8
14 O 0.154 0.247 0.337 x8



The following is a theoretical XRD peak list of FeOF. It was derived from a crystal structure in the Materials Project, relaxed with GGA+U, using Cu Ka.

Most intense lines, 2θ = 10–90°, sorted by position:
| h k l | 2θ (°) | Rel. int. |
| --- | --- | --- |
| 2 0 -3 | 26.50 | 93 |
| 2 0 3 | 26.68 | 91 |
| 2 1 0 | 34.65 | 100 |
| 2 1 -3 | 39.60 | 17 |
| 2 1 3 | 39.74 | 16 |
| 4 1 -3 | 52.23 | 54 |
| 4 1 3 | 52.44 | 52 |
| 0 2 0 | 59.87 | 18 |
| 6 1 0 | 66.42 | 19 |
| 0 1 9 | 66.48 | 17 |

Structural model:
Cell lengths 9.487, 3.090, 14.215 Å; angles 90.00, 90.39, 90.00 degrees
Space group Pm (No. 6)
One atom of each set of equivalent atoms:
1 Fe 0.000 0.000 0.000 x1
2 Fe 0.003 0.000 0.294 x1
3 Fe 0.010 0.000 0.666 x1
4 Fe 0.245 0.500 0.143 x1
5 Fe 0.254 0.500 0.816 x1
6 Fe 0.263 0.500 0.473 x1
7 Fe 0.471 0.000 0.982 x1
8 Fe 0.508 0.000 0.326 x1
9 Fe 0.532 0.000 0.651 x1
10 Fe 0.741 0.500 0.482 x1
11 Fe 0.757 0.500 0.807 x1
12 Fe 0.765 0.500 0.145 x1
13 O 0.098 0.500 0.045 x1
14 O 0.110 0.500 0.717 x1
15 O 0.160 0.000 0.216 x1
16 O 0.350 0.000 0.418 x1
17 O 0.351 0.000 0.085 x1
18 O 0.397 0.500 0.910 x1
19 O 0.597 0.500 0.719 x1
20 O 0.607 0.500 0.378 x1
21 O 0.660 0.000 0.547 x1
22 O 0.842 0.000 0.081 x1
23 O 0.851 0.000 0.751 x1
24 O 0.897 0.500 0.251 x1
25 F 0.097 0.500 0.384 x1
26 F 0.150 0.000 0.878 x1
27 F 0.157 0.000 0.546 x1
28 F 0.350 0.000 0.746 x1
29 F 0.403 0.500 0.586 x1
30 F 0.412 0.500 0.253 x1
31 F 0.596 0.500 0.045 x1
32 F 0.647 0.000 0.209 x1
33 F 0.659 0.000 0.884 x1
34 F 0.859 0.000 0.421 x1
35 F 0.904 0.500 0.916 x1
36 F 0.916 0.500 0.584 x1